No. 1
# Cd2BiCl
Computed PXRD pattern, Cu Ka. Input: a crystal structure in Alexandria, relaxed with GGA-PBE.
Lines closer than 0.1° are merged.

Atomic structure:
```
Cd2BiCl
1.0
6.0983 0.0000 0.0000
0.0000 6.0976 0.0000
-6.0875 0.0000 12.0451
Cd Bi Cl
8 4 4
Cartesian
-0.0019 1.5196 1.4433
-3.0457 4.5780 7.4658
-3.0415 1.5472 10.4731
0.0022 4.5504 4.4506
0.0086 1.5472 7.5945
3.0523 4.5504 1.5720
3.0565 1.5196 4.5793
0.0127 4.5780 10.6018
0.0067 1.5060 4.5184
-3.0371 4.5916 10.5409
3.0479 1.5060 1.5041
0.0041 4.5916 7.5267
-3.0445 1.5357 7.5263
-0.0007 4.5619 1.5037
0.0115 1.5357 10.5414
3.0552 4.5619 4.5188
```

Top 10 peaks for 2θ from 5° to 70°, in order of rising 2θ:
2theta  I/Imax
16.29  44
26.58  21
29.29  100
29.67  48
33.70  16
41.90  38
42.18  73
52.18  39
68.86  17
69.06  17

=====

No. 2
# TaZnIr
Computed PXRD pattern, Cu Ka. Input: a crystal structure in Alexandria, relaxed with GGA-PBE.
Lines closer than 0.1° are merged.

Atomic structure:
```
TaZnIr
1.0
-1.4330 1.9710 4.1114
1.4330 -1.9710 4.1114
1.4330 1.9710 -4.1114
Ta Zn Ir
1 1 1
Cartesian
0.0000 0.0000 0.0000
0.0000 0.0000 5.5114
0.0000 0.0000 2.7221
```

Top 10 peaks for 2θ from 5° to 70°, in order of rising 2θ:
2theta  I/Imax
21.61  13
25.05  21
33.10  10
38.85  100
40.07  92
45.81  63
46.05  31
65.09  11
66.98  40
68.46  9

=====

No. 3
# LiTbTmRe
Computed PXRD pattern, Cu Ka. Input: a crystal structure in Alexandria, relaxed with GGA-PBE.
Lines closer than 0.1° are merged.

Atomic structure:
```
LiTbTmRe
1.0
0.0000 3.4660 3.4660
3.4660 0.0000 3.4660
3.4660 3.4660 0.0000
Li Tb Tm Re
1 1 1 1
Cartesian
0.0000 0.0000 0.0000
1.7330 1.7330 1.7330
5.1991 5.1991 5.1991
3.4660 3.4660 3.4660
```

Top 9 peaks for 2θ from 5° to 70°, in order of rising 2θ:
2theta  I/Imax
22.21  29
25.70  9
36.67  100
43.29  15
45.32  3
52.83  18
57.99  7
59.65  3
66.02  36

=====

No. 4
# Zn4Ga4Ag
Computed PXRD pattern, Cu Ka. Input: a crystal structure in Alexandria, relaxed with GGA-PBE.
Lines closer than 0.1° are merged.

Atomic structure:
```
Zn4Ga4Ag
1.0
-4.3045 4.3045 2.0703
4.3045 -4.3045 2.0703
4.3045 4.3045 -2.0703
Zn Ga Ag
4 4 1
Cartesian
1.4261 1.4261 0.0000
2.8785 -2.8785 2.0703
-2.8785 2.8785 2.0703
2.8785 2.8785 2.0703
4.3045 1.4620 0.0000
1.4620 4.3045 0.0000
2.8425 0.0000 2.0703
0.0000 2.8425 2.0703
0.0000 0.0000 2.0703
```

Top 10 peaks for 2θ from 5° to 70°, in order of rising 2θ:
2theta  I/Imax
14.55  2
20.63  1
23.85  1
31.74  1
38.16  100
43.72  17
44.66  32
48.84  1
64.28  20
65.00  10

=====

No. 5
# Er2Cd2Rh3
Computed PXRD pattern, Cu Ka. Input: a crystal structure in Alexandria, relaxed with GGA-PBE.
Lines closer than 0.1° are merged.

Atomic structure:
```
Er2Cd2Rh3
1.0
4.6845 0.0000 0.0000
2.3330 4.0796 0.0000
0.0100 2.6901 7.3521
Er Cd Rh
2 2 3
Cartesian
1.1747 2.0240 2.5642
5.8529 4.7457 4.7880
3.5098 3.3871 0.7888
3.5178 3.3827 6.5634
1.1750 2.0322 5.3805
3.5138 3.3849 3.6761
5.8525 4.7375 1.9716
```

Top 10 peaks for 2θ from 5° to 70°, in order of rising 2θ:
2theta  I/Imax
12.04  22
27.24  26
29.93  13
36.05  12
38.27  100
38.43  49
39.37  41
39.54  81
56.10  14
56.25  28